[1]
Structure and theoretical X-ray powder pattern of Ho2S3 (a structure optimized by DFT (GGA-PBE); Cu Ka).
Intensities are scaled so that the largest is 100.

Principal peaks in the range 15° ≤ 2θ ≤ 90°, by angle:
hkl 2 0 2, 2θ = 23.9°, I = 100
hkl 0 1 1, 2θ = 24.6°, I = 44
hkl 1 1 1, 2θ = 26.0°, I = 43
hkl 3 0 1, 2θ = 26.6°, I = 55
hkl 1 0 3, 2θ = 27.0°, I = 49
hkl 1 1 2, 2θ = 30.0°, I = 46
hkl 2 1 2, 2θ = 33.5°, I = 32
hkl 1 1 3, 2θ = 35.8°, I = 57
hkl 1 1 4, 2θ = 42.7°, I = 32
hkl 4 1 2, 2θ = 45.0°, I = 35
hkl 0 2 0, 2θ = 47.2°, I = 34
hkl 5 0 3, 2θ = 50.4°, I = 37

Atomic structure:
```
data_Ho2S3
_chemical_formula_sum 'Ho8 S12'
_space_group_name_H-M_alt 'P n m a'
_space_group_IT_number 62
_cell_length_a 10.604
_cell_length_b 3.853
_cell_length_c 10.446
_cell_angle_alpha 90.00
_cell_angle_beta 90.00
_cell_angle_gamma 90.00
loop_
_space_group_symop_operation_xyz
'x,y,z'
'-x,-y,-z'
'-x+1/2,-y,z+1/2'
'x+1/2,y,-z+1/2'
'x+1/2,-y+1/2,-z+1/2'
'-x+1/2,y+1/2,z+1/2'
'-x,y+1/2,-z'
'x,-y+1/2,z'
loop_
_atom_site_label
_atom_site_type_symbol
_atom_site_fract_x
_atom_site_fract_y
_atom_site_fract_z
_atom_site_occupancy
Ho1 Ho 0.010 0.250 0.187 1
Ho2 Ho 0.192 0.250 0.504 1
S1 S 0.046 0.750 0.373 1
S2 S 0.119 0.250 0.945 1
S3 S 0.227 0.750 0.696 1
```



[2]
Structure and theoretical X-ray powder pattern of Sr2CaCu2Bi2O10 (a structure optimized by DFT (GGA-PBE); Cu Ka).
Intensities are scaled so that the largest is 100.

Principal peaks in the range 15° ≤ 2θ ≤ 90°, by angle:
hkl 1 0 3, 2θ = 25.0°, I = 25
hkl 1 0 5, 2θ = 27.6°, I = 54
hkl 1 0 7, 2θ = 31.0°, I = 100
hkl 1 1 0, 2θ = 33.4°, I = 65
hkl 0 0 12, 2θ = 34.6°, I = 13
hkl 1 1 10, 2θ = 44.6°, I = 30
hkl 2 0 0, 2θ = 48.0°, I = 37
hkl 1 1 12, 2θ = 48.9°, I = 18
hkl 1 0 15, 2θ = 50.1°, I = 13
hkl 1 0 17, 2θ = 55.8°, I = 13
hkl 2 1 5, 2θ = 56.3°, I = 17
hkl 2 1 7, 2θ = 58.3°, I = 34

Atomic structure:
```
data_Sr2CaCu2Bi2O10
_chemical_formula_sum 'Sr4 Ca2 Cu4 Bi4 O20'
_space_group_name_H-M_alt 'P 4 m m'
_space_group_IT_number 99
_cell_length_a 3.789
_cell_length_b 3.789
_cell_length_c 31.131
_cell_angle_alpha 90.00
_cell_angle_beta 90.00
_cell_angle_gamma 90.00
loop_
_space_group_symop_operation_xyz
'x,y,z'
'-y,x,z'
'-x,-y,z'
'y,-x,z'
'-x,y,z'
'y,x,z'
'x,-y,z'
'-y,-x,z'
loop_
_atom_site_label
_atom_site_type_symbol
_atom_site_fract_x
_atom_site_fract_y
_atom_site_fract_z
_atom_site_occupancy
Sr1 Sr 0.000 0.000 0.000 1
Sr2 Sr 0.000 0.000 0.117 1
Sr3 Sr 0.000 0.000 0.882 1
Sr4 Sr 0.500 0.500 0.388 1
Ca1 Ca 0.500 0.500 0.501 1
Ca2 Ca 0.500 0.500 0.612 1
Cu1 Cu 0.000 0.000 0.442 1
Cu2 Cu 0.000 0.000 0.562 1
Cu3 Cu 0.500 0.500 0.064 1
Cu4 Cu 0.500 0.500 0.935 1
Bi1 Bi 0.000 0.000 0.296 1
Bi2 Bi 0.000 0.000 0.702 1
Bi3 Bi 0.500 0.500 0.209 1
Bi4 Bi 0.500 0.500 0.790 1
O1 O 0.000 0.000 0.193 1
O2 O 0.000 0.000 0.370 1
O3 O 0.000 0.000 0.629 1
O4 O 0.000 0.000 0.806 1
O5 O 0.000 0.500 0.056 1
O6 O 0.000 0.500 0.253 1
O7 O 0.000 0.500 0.451 1
O8 O 0.000 0.500 0.553 1
O9 O 0.000 0.500 0.746 1
O10 O 0.000 0.500 0.944 1
O11 O 0.500 0.500 0.136 1
O12 O 0.500 0.500 0.312 1
O13 O 0.500 0.500 0.683 1
O14 O 0.500 0.500 0.865 1
```



[3]
Structure and theoretical X-ray powder pattern of Li3Bi2P3O12 (a structure optimized by DFT (GGA-PBE); Cu Ka).
Intensities are scaled so that the largest is 100.

Principal peaks in the range 15° ≤ 2θ ≤ 90°, by angle:
hkl 1 1 0, 2θ = 18.8°, I = 100
hkl 2 0 0, 2θ = 20.6°, I = 61
hkl 1 1 -3, 2θ = 22.8°, I = 58
hkl 2 0 3, 2θ = 24.4°, I = 27
hkl 0 2 0, 2θ = 31.7°, I = 38
hkl 1 1 -6, 2θ = 32.0°, I = 58
hkl 1 1 6, 2θ = 32.2°, I = 58
hkl 3 1 0, 2θ = 35.0°, I = 56
hkl 0 2 6, 2θ = 41.3°, I = 31
hkl 2 2 -6, 2θ = 46.5°, I = 17
hkl 2 2 6, 2θ = 46.7°, I = 19
hkl 1 3 6, 2θ = 56.8°, I = 22

Atomic structure:
```
data_Li3Bi2P3O12
_chemical_formula_sum 'Li12 Bi8 P12 O48'
_space_group_name_H-M_alt 'C 1 2/m 1'
_space_group_IT_number 12
_cell_length_a 8.639
_cell_length_b 5.638
_cell_length_c 20.742
_cell_angle_alpha 90.00
_cell_angle_beta 90.52
_cell_angle_gamma 90.00
loop_
_space_group_symop_operation_xyz
'x,y,z'
'-x,-y,-z'
'-x,y,-z'
'x,-y,z'
'x+1/2,y+1/2,z'
'-x+1/2,-y+1/2,-z'
'-x+1/2,y+1/2,-z'
'x+1/2,-y+1/2,z'
loop_
_atom_site_label
_atom_site_type_symbol
_atom_site_fract_x
_atom_site_fract_y
_atom_site_fract_z
_atom_site_occupancy
Li1 Li 0.000 0.000 0.159 1
Li2 Li 0.156 0.500 0.097 1
Li3 Li 0.162 0.500 0.771 1
Bi1 Bi 0.000 0.000 0.000 1
Bi2 Bi 0.000 0.000 0.500 1
Bi3 Bi 0.002 0.000 0.679 1
P1 P 0.141 0.500 0.594 1
P2 P 0.145 0.500 0.916 1
P3 P 0.146 0.500 0.238 1
O1 O 0.032 0.278 0.914 1
O2 O 0.032 0.279 0.237 1
O3 O 0.034 0.273 0.589 1
O4 O 0.221 0.500 0.661 1
O5 O 0.231 0.500 0.982 1
O6 O 0.237 0.500 0.303 1
O7 O 0.246 0.000 0.141 1
O8 O 0.248 0.500 0.536 1
O9 O 0.249 0.000 0.820 1
```



[4]
Structure and theoretical X-ray powder pattern of Ce2S3 (a structure optimized by DFT (GGA-PBE); Cu Ka).
Intensities are scaled so that the largest is 100.

Principal peaks in the range 15° ≤ 2θ ≤ 90°, by angle:
hkl 1 1 2, 2θ = 16.3°, I = 9
hkl 1 1 6, 2θ = 25.6°, I = 94
hkl 3 1 0, 2θ = 33.2°, I = 100
hkl 2 1 9, 2θ = 39.6°, I = 65
hkl 4 0 6, 2θ = 47.7°, I = 38
hkl 3 2 9, 2θ = 50.2°, I = 25
hkl 4 2 6, 2θ = 52.6°, I = 9
hkl 3 1 12, 2θ = 54.9°, I = 28
hkl 5 2 3, 2θ = 59.4°, I = 8
hkl 6 1 3, 2θ = 67.8°, I = 30
hkl 5 1 12, 2θ = 71.8°, I = 15
hkl 7 2 3, 2θ = 83.3°, I = 19

Atomic structure:
```
data_Ce2S3
_chemical_formula_sum 'Ce32 S48'
_space_group_name_H-M_alt 'I -4 2 d'
_space_group_IT_number 122
_space_group_name_Hall 'I -4 2bw'
_cell_length_a 8.527
_cell_length_b 8.527
_cell_length_c 25.534
_cell_angle_alpha 90.00
_cell_angle_beta 90.00
_cell_angle_gamma 90.00
loop_
_atom_site_label
_atom_site_type_symbol
_atom_site_fract_x
_atom_site_fract_y
_atom_site_fract_z
_atom_site_occupancy
Ce1 Ce 0.000 0.000 0.166 1
Ce2 Ce 0.120 0.750 0.625 1
Ce3 Ce 0.137 0.744 0.961 1
S1 S 0.073 0.675 0.183 1
S2 S 0.074 0.681 0.854 1
S3 S 0.079 0.669 0.516 1
```



[5]
Structure and theoretical X-ray powder pattern of KTaB2O6 (a structure optimized by DFT (GGA-PBE); Cu Ka).
Intensities are scaled so that the largest is 100.

Principal peaks in the range 15° ≤ 2θ ≤ 90°, by angle:
hkl 1 0 1, 2θ = 15.1°, I = 100
hkl 0 0 2, 2θ = 18.7°, I = 31
hkl 2 0 0, 2θ = 23.7°, I = 25
hkl 0 1 1, 2θ = 24.4°, I = 38
hkl 1 1 0, 2θ = 25.5°, I = 30
hkl 1 1 1, 2θ = 27.2°, I = 23
hkl 2 0 2, 2θ = 30.4°, I = 36
hkl 1 0 3, 2θ = 30.7°, I = 30
hkl 1 1 2, 2θ = 31.8°, I = 26
hkl 2 1 1, 2θ = 34.3°, I = 15
hkl 2 1 3, 2θ = 43.9°, I = 19
hkl 3 0 3, 2θ = 46.3°, I = 23

Atomic structure:
```
data_KTaB2O6
_chemical_formula_sum 'K2 Ta2 B4 O12'
_space_group_name_H-M_alt 'P m n 21'
_space_group_IT_number 31
_cell_length_a 7.496
_cell_length_b 3.956
_cell_length_c 9.472
_cell_angle_alpha 90.00
_cell_angle_beta 90.00
_cell_angle_gamma 90.00
loop_
_space_group_symop_operation_xyz
'x,y,z'
'-x+1/2,-y,z+1/2'
'-x,y,z'
'x+1/2,-y,z+1/2'
loop_
_atom_site_label
_atom_site_type_symbol
_atom_site_fract_x
_atom_site_fract_y
_atom_site_fract_z
_atom_site_occupancy
K1 K 0.000 0.024 0.000 1
Ta1 Ta 0.000 0.325 0.600 1
B1 B 0.166 0.519 0.313 1
O1 O 0.000 0.547 0.244 1
O2 O 0.000 0.855 0.598 1
O3 O 0.184 0.377 0.443 1
O4 O 0.191 0.352 0.742 1
```



Question: Which formula does entry 1 have?
Answer: Ho2S3